For CsNb3SBr7, a crystal structure in the Materials Project, relaxed with GGA-PBE gives the computed X-ray powder pattern in this record (Cu Kα (λ = 1.5418 Å)).
Neutral-atom scattering factors, no anomalous dispersion.

Cell and atoms:
```
data_CsNb3SBr7
_chemical_formula_sum 'Cs4 Nb12 S4 Br28'
_cell_length_a 10.3770
_cell_length_b 19.5722
_cell_length_c 7.1606
_cell_angle_alpha 90.00
_cell_angle_beta 97.69
_cell_angle_gamma 90.00
_space_group_name_H-M_alt 'P 1 21/c 1'
_space_group_IT_number 14
_space_group_name_Hall '-P 2ybc'
loop_
_atom_site_label
_atom_site_type_symbol
_atom_site_fract_x
_atom_site_fract_y
_atom_site_fract_z
Cs1 Cs 0.1154 0.0948 0.2687
Nb1 Nb 0.1746 0.6699 0.7869
Nb2 Nb 0.4208 0.6723 0.0374
Nb3 Nb 0.4213 0.6723 0.6347
S1 S 0.3267 0.7377 0.3175
Br1 Br 0.0436 0.7501 0.0109
Br2 Br 0.0573 0.0986 0.7591
Br3 Br 0.2390 0.5799 0.0502
Br4 Br 0.2408 0.5794 0.5506
Br5 Br 0.3691 0.2502 0.3747
Br6 Br 0.4448 0.0860 0.6376
Br7 Br 0.4665 0.1010 0.1425
```

The 8 most intense peaks (10 to 80 degrees two-theta), by angle:
Position (°2θ)  I/Imax  hkl
18.1  48  0 4 0
27.3  45  0 6 0
29.4  100  3 3 0
30.9  90  1 3 2
31.8  50  2 3 -2
33.3  65  1 4 2
34.1  55  2 4 -2
43.4  45  2 7 -2

=====

For CsNbO3, a crystal structure in the Materials Project, relaxed with GGA-PBE gives the computed X-ray powder pattern in this record (Cu Kα (λ = 1.5418 Å)).
Neutral-atom scattering factors, no anomalous dispersion.

Cell and atoms:
```
data_CsNbO3
_chemical_formula_sum 'Cs1 Nb1 O3'
_cell_length_a 4.1709
_cell_length_b 4.1709
_cell_length_c 4.1709
_cell_angle_alpha 90.00
_cell_angle_beta 90.00
_cell_angle_gamma 90.00
_space_group_name_H-M_alt 'P m -3 m'
_space_group_IT_number 221
_space_group_name_Hall '-P 4 2 3'
loop_
_atom_site_label
_atom_site_type_symbol
_atom_site_fract_x
_atom_site_fract_y
_atom_site_fract_z
Cs1 Cs 0.0000 0.0000 0.0000
Nb1 Nb 0.5000 0.5000 0.5000
O1 O 0.0000 0.5000 0.5000
```

The 8 most intense peaks (10 to 80 degrees two-theta), by angle:
Position (°2θ)  I/Imax  hkl
30.3  100  1 1 0
37.3  6  1 1 1
43.4  31  2 0 0
53.8  40  2 1 1
63.0  19  2 2 0
71.5  17  3 1 0
75.6  2  3 1 1
79.6  6  2 2 2

=====

For Mg14ZrMn, a crystal structure in the Materials Project, relaxed with GGA-PBE gives the computed X-ray powder pattern in this record (Cu Kα (λ = 1.5418 Å)).
Neutral-atom scattering factors, no anomalous dispersion.

Cell and atoms:
```
data_Mg14ZrMn
_chemical_formula_sum 'Mg14 Zr1 Mn1'
_cell_length_a 6.3697
_cell_length_b 6.3697
_cell_length_c 10.1166
_cell_angle_alpha 90.00
_cell_angle_beta 90.00
_cell_angle_gamma 120.00
_space_group_name_H-M_alt 'P -6 m 2'
_space_group_IT_number 187
_space_group_name_Hall 'P -6 2'
loop_
_atom_site_label
_atom_site_type_symbol
_atom_site_fract_x
_atom_site_fract_y
_atom_site_fract_z
Mg1 Mg 0.0000 0.0000 0.2472
Mg2 Mg 0.0081 0.5041 0.2529
Mg3 Mg 0.3327 0.1663 0.5000
Mg4 Mg 0.3391 0.1696 0.0000
Zr1 Zr 0.3333 0.6667 0.0000
Mn1 Mn 0.3333 0.6667 0.5000
```

The 8 most intense peaks (10 to 80 degrees two-theta), by angle:
Position (°2θ)  I/Imax  hkl
16.1  22  1 0 0
32.5  27  2 0 0
35.5  25  0 0 4
37.1  100  2 0 2
48.9  16  2 0 4
57.9  17  2 2 0
64.8  18  2 0 6
69.8  19  2 2 4

=====

For SmCuSn, a crystal structure in the Materials Project, relaxed with GGA-PBE gives the computed X-ray powder pattern in this record (Cu Kα (λ = 1.5418 Å)).
Neutral-atom scattering factors, no anomalous dispersion.

Cell and atoms:
```
data_SmCuSn
_chemical_formula_sum 'Sm2 Cu2 Sn2'
_cell_length_a 4.5531
_cell_length_b 4.5531
_cell_length_c 7.6491
_cell_angle_alpha 90.00
_cell_angle_beta 90.00
_cell_angle_gamma 120.00
_space_group_name_H-M_alt 'P 63/m m c'
_space_group_IT_number 194
_space_group_name_Hall '-P 6c 2c'
loop_
_atom_site_label
_atom_site_type_symbol
_atom_site_fract_x
_atom_site_fract_y
_atom_site_fract_z
Sm1 Sm 0.0000 0.0000 0.0000
Cu1 Cu 0.3333 0.6667 0.2500
Sn1 Sn 0.3333 0.6667 0.7500
```

The 8 most intense peaks (10 to 80 degrees two-theta), by angle:
Position (°2θ)  I/Imax  hkl
32.6  100  1 0 2
39.6  57  1 1 0
47.6  13  0 0 4
52.2  27  2 0 2
63.5  30  1 1 4
67.4  24  2 1 2
71.8  10  3 0 0
78.9  8  1 0 6

=====

For YCdBiO4, a crystal structure in the Materials Project, relaxed with GGA-PBE gives the computed X-ray powder pattern in this record (Cu Kα (λ = 1.5418 Å)).
Neutral-atom scattering factors, no anomalous dispersion.

Cell and atoms:
```
data_YCdBiO4
_chemical_formula_sum 'Y16 Cd16 Bi16 O64'
_cell_length_a 14.4791
_cell_length_b 14.4791
_cell_length_c 9.4440
_cell_angle_alpha 90.00
_cell_angle_beta 90.00
_cell_angle_gamma 90.00
_space_group_name_H-M_alt 'I 41/a m d'
_space_group_IT_number 141
loop_
_space_group_symop_operation_xyz
'x,y,z'
'-x,-y,-z'
'-y+1/4,x+3/4,z+1/4'
'y+1/4,-x+3/4,-z+1/4'
'-x+1/2,-y,z+1/2'
'x+1/2,y,-z+1/2'
'y+1/4,-x+1/4,z+3/4'
'-y+1/4,x+1/4,-z+3/4'
'x,-y,-z'
'-x,y,z'
'-y+1/4,-x+1/4,-z+3/4'
'y+1/4,x+1/4,z+3/4'
'-x+1/2,y,-z+1/2'
'x+1/2,-y,z+1/2'
'y+1/4,x+3/4,-z+1/4'
'-y+1/4,-x+3/4,z+1/4'
'x+1/2,y+1/2,z+1/2'
'-x+1/2,-y+1/2,-z+1/2'
'-y+3/4,x+1/4,z+3/4'
'y+3/4,-x+1/4,-z+3/4'
'-x,-y+1/2,z'
'x,y+1/2,-z'
'y+3/4,-x+3/4,z+1/4'
'-y+3/4,x+3/4,-z+1/4'
'x+1/2,-y+1/2,-z+1/2'
'-x+1/2,y+1/2,z+1/2'
'-y+3/4,-x+3/4,-z+1/4'
'y+3/4,x+3/4,z+1/4'
'-x,y+1/2,-z'
'x,-y+1/2,z'
'y+3/4,x+1/4,-z+3/4'
'-y+3/4,-x+1/4,z+3/4'
loop_
_atom_site_label
_atom_site_type_symbol
_atom_site_fract_x
_atom_site_fract_y
_atom_site_fract_z
Y1 Y 0.1644 0.0856 0.3750
Cd1 Cd 0.1083 0.0000 0.0000
Bi1 Bi 0.0000 0.1106 0.7146
O1 O 0.0000 0.0278 0.2184
O2 O 0.1077 0.1423 0.8750
O3 O 0.1510 0.0611 0.6090
```

The 8 most intense peaks (10 to 80 degrees two-theta), by angle:
Position (°2θ)  I/Imax  hkl
11.2  43  1 0 1
24.1  37  3 2 1
27.1  63  4 1 1
29.0  43  1 0 3
31.1  100  4 0 2
32.3  69  5 0 1
35.1  25  4 4 0
51.8  22  7 4 1